Simulated XRD peak list of SmCo2F8 for Cu Kα, 1.54184 Å, from DFT lattice parameters and positions (GGA+U).

Main lines, in order of rising 2θ (10 to 80 degrees two-theta):
h k l, 2θ (°), intensity
1 0 1, 17.14, 100
1 1 2, 27.19, 83
1 0 3, 29.65, 13
2 0 0, 30.05, 20
2 1 1, 34.80, 22
2 1 3, 42.72, 25
2 2 0, 43.02, 11
2 0 4, 46.17, 27
3 1 2, 51.64, 29
2 1 5, 55.83, 11
2 2 4, 56.08, 11
3 1 6, 74.06, 10

Cell and atoms:
Cell lengths 5.947, 5.947, 10.484 Å; angles 90.00, 90.00, 90.00 degrees
Space group I422 (No. 97)
Asymmetric unit:
Sm: 0.000 0.000 0.000 [2 per cell]
Co: 0.000 0.500 0.250 [4 per cell]
F: 0.117 0.301 0.872 [16 per cell]